Diffraction record for Ca3Ac3Au4. The XRD peak list is simulated, not measured: it uses the PBE geometry in Alexandria and λ = 1.5418 Å (Cu Kα).
Lines closer than 0.1° are merged.

Top 8 peaks for 5 to 70 degrees two-theta, low angle first:
6.036 Å, I 36; 2.844 Å, I 88; 2.834 Å, I 100; 2.695 Å, I 24; 2.682 Å, I 28; 2.134 Å, I 20; 2.125 Å, I 21; 1.484 Å, I 21

```
data_Ca3Ac3Au4
_symmetry_space_group_name_H-M 'A m m 2'
_symmetry_Int_Tables_number 38
_symmetry_space_group_name_Hall 'A 2 -2'
_cell_length_a 4.2689
_cell_length_b 11.9750
_cell_length_c 12.0728
_cell_angle_alpha 90.00
_cell_angle_beta 90.00
_cell_angle_gamma 90.00
loop_
_atom_site_label
_atom_site_type_symbol
_atom_site_fract_x
_atom_site_fract_y
_atom_site_fract_z
Ca1 Ca 0.0000 0.0000 0.0000
Ca2 Ca 0.5000 0.2436 0.0833
Ac1 Ac 0.0000 0.0000 0.6823
Ac2 Ac 0.0000 0.1593 0.3350
Au1 Au 0.5000 0.0000 0.1944
Au2 Au 0.5000 0.0000 0.4782
Au3 Au 0.5000 0.1367 0.8404
```



Diffraction record for CaAcAu10. The XRD peak list is simulated, not measured: it uses the PBE geometry in Alexandria and λ = 1.5418 Å (Cu Kα).
Lines closer than 0.1° are merged.

Top 8 peaks for 5 to 70 degrees two-theta, low angle first:
4.889 Å, I 57; 2.448 Å, I 27; 2.429 Å, I 51; 2.421 Å, I 100; 2.364 Å, I 57; 2.174 Å, I 62; 2.167 Å, I 30; 1.376 Å, I 26

```
data_CaAcAu10
_symmetry_space_group_name_H-M 'P m m m'
_symmetry_Int_Tables_number 47
_symmetry_space_group_name_Hall '-P 2 2'
_cell_length_a 4.7270
_cell_length_b 5.6623
_cell_length_c 9.7508
_cell_angle_alpha 90.00
_cell_angle_beta 90.00
_cell_angle_gamma 90.00
loop_
_atom_site_label
_atom_site_type_symbol
_atom_site_fract_x
_atom_site_fract_y
_atom_site_fract_z
Ca1 Ca 0.0000 0.0000 0.0000
Ac1 Ac 0.0000 0.5000 0.5000
Au1 Au 0.0000 0.0000 0.3251
Au2 Au 0.0000 0.5000 0.1595
Au3 Au 0.5000 0.0000 0.5000
Au4 Au 0.5000 0.2514 0.2510
Au5 Au 0.5000 0.5000 0.0000
```



Diffraction record for Ca2AcLaAu4. The XRD peak list is simulated, not measured: it uses the PBE geometry in Alexandria and λ = 1.5418 Å (Cu Kα).
Lines closer than 0.1° are merged.

Top 8 peaks for 5 to 70 degrees two-theta, low angle first:
4.328 Å, I 17; 3.754 Å, I 19; 2.661 Å, I 100; 2.648 Å, I 100; 1.877 Å, I 36; 1.539 Å, I 18; 1.531 Å, I 38; 1.529 Å, I 19

```
data_Ca2AcLaAu4
_symmetry_space_group_name_H-M 'R -3 m'
_symmetry_Int_Tables_number 166
_symmetry_space_group_name_Hall '-R 3 2"'
_cell_length_a 5.2958
_cell_length_b 5.2958
_cell_length_c 26.1360
_cell_angle_alpha 90.00
_cell_angle_beta 90.00
_cell_angle_gamma 120.00
loop_
_atom_site_label
_atom_site_type_symbol
_atom_site_fract_x
_atom_site_fract_y
_atom_site_fract_z
Ca1 Ca 0.0000 0.0000 0.2484
Ac1 Ac 0.0000 0.0000 0.0000
La1 La 0.0000 0.0000 0.5000
Au1 Au 0.0000 0.0000 0.1267
Au2 Au 0.0000 0.0000 0.3783
```



Diffraction record for CaAcPtAu. The XRD peak list is simulated, not measured: it uses the PBE geometry in Alexandria and λ = 1.5418 Å (Cu Kα).
Lines closer than 0.1° are merged.

Top 8 peaks for 5 to 70 degrees two-theta, low angle first:
5.774 Å, I 36; 3.907 Å, I 25; 2.953 Å, I 99; 2.887 Å, I 31; 2.432 Å, I 31; 2.393 Å, I 100; 2.256 Å, I 29; 2.076 Å, I 23

```
data_CaAcPtAu
_symmetry_space_group_name_H-M 'A m m 2'
_symmetry_Int_Tables_number 38
_symmetry_space_group_name_Hall 'A 2 -2'
_cell_length_a 4.5113
_cell_length_b 4.1518
_cell_length_c 11.5478
_cell_angle_alpha 90.00
_cell_angle_beta 90.00
_cell_angle_gamma 90.00
loop_
_atom_site_label
_atom_site_type_symbol
_atom_site_fract_x
_atom_site_fract_y
_atom_site_fract_z
Ca1 Ca 0.0000 0.0000 0.0000
Ac1 Ac 0.5000 0.0000 0.7247
Pt1 Pt 0.0000 0.0000 0.2717
Au1 Au 0.5000 0.0000 0.4450
```